K2NiTeO6: computed powder diffraction line list (a wavelength of 1.5418 Å), based on a DFT-relaxed cell (PBE+U, Alexandria).

Cell and atoms:
```
data_K2NiTeO6
_chemical_formula_sum 'K8 Ni4 Te4 O24'
_space_group_name_H-M_alt 'F m -3 m'
_space_group_IT_number 225
_space_group_name_Hall '-F 4 2 3'
_cell_length_a 8.113
_cell_length_b 8.113
_cell_length_c 8.113
_cell_angle_alpha 90.00
_cell_angle_beta 90.00
_cell_angle_gamma 90.00
loop_
_atom_site_label
_atom_site_type_symbol
_atom_site_fract_x
_atom_site_fract_y
_atom_site_fract_z
_atom_site_occupancy
K1 K 0.250 0.250 0.250 1
Ni1 Ni 0.000 0.000 0.000 1
Te1 Te 0.000 0.000 0.500 1
O1 O 0.000 0.000 0.261 1
```

Most intense lines, 5 to 70 degrees two-theta, by angle:
18.95 deg, 4.684 Å, I 175, hkl 1 1 1
21.91 deg, 4.056 Å, I 433, hkl 2 0 0
31.18 deg, 2.868 Å, I 1000, hkl 2 2 0
44.68 deg, 2.028 Å, I 414, hkl 4 0 0
50.30 deg, 1.814 Å, I 179, hkl 4 2 0
55.49 deg, 1.656 Å, I 371, hkl 4 2 2
65.04 deg, 1.434 Å, I 233, hkl 4 4 0
69.52 deg, 1.352 Å, I 80, hkl 6 0 0